Starting from DFT lattice parameters and positions (GGA-PBE), the powder X-ray diffraction pattern of SrFePt2 was simulated for CuKα.
No peak broadening, texture or thermal motion is included.

Peak list (6 most intense, 2θ = 5–70°, sorted by position)
23.05°, I 23
38.08°, I 100
44.99°, I 13
54.95°, I 17
60.37°, I 6
68.82°, I 35

Structural model:
a = 4.7259 Å, b = 4.7259 Å, c = 4.7259 Å
α = 60.00°, β = 60.00°, γ = 60.00°
Positions (direct):
Sr 0.0000 0.0000 0.0000
Fe 0.2500 0.2500 0.2500
Pt 0.5000 0.5000 0.5000
Pt 0.7500 0.7500 0.7500

---

Starting from DFT lattice parameters and positions (GGA-PBE), the powder X-ray diffraction pattern of ZnBiPO was simulated for CuKα.
No peak broadening, texture or thermal motion is included.

Peak list (12 most intense, 2θ = 5–70°, sorted by position)
19.05°, I 43
23.02°, I 32
27.59°, I 100
28.54°, I 24
29.57°, I 39
29.76°, I 68
31.38°, I 40
32.23°, I 34
34.64°, I 29
40.88°, I 39
42.05°, I 22
49.07°, I 34

Structural model:
a = 6.0415 Å, b = 6.9200 Å, c = 7.3135 Å
α = 90.00°, β = 90.00°, γ = 90.00°
Positions (direct):
Zn 0.0350 0.1619 0.3841
Zn 0.4650 0.8381 0.8841
Zn 0.5350 0.3381 0.6159
Zn 0.9650 0.6619 0.1159
Bi 0.0564 0.5784 0.6468
Bi 0.4436 0.4216 0.1468
Bi 0.5564 0.9216 0.3532
Bi 0.9436 0.0784 0.8532
P 0.1260 0.8289 0.3669
P 0.3740 0.1711 0.8669
P 0.6260 0.6711 0.6331
P 0.8740 0.3289 0.1331
O 0.1397 0.7458 0.8966
O 0.3603 0.2542 0.3966
O 0.6397 0.7542 0.1034
O 0.8603 0.2458 0.6034

---

Starting from DFT lattice parameters and positions (GGA-PBE), the powder X-ray diffraction pattern of DyAuSO was simulated for CuKα.
No peak broadening, texture or thermal motion is included.

Peak list (12 most intense, 2θ = 5–70°, sorted by position)
9.73°, I 45
19.53°, I 80
29.48°, I 59
29.94°, I 96
31.93°, I 94
33.56°, I 100
37.38°, I 39
37.78°, I 70
44.02°, I 56
47.01°, I 97
51.87°, I 44
62.22°, I 42

Structural model:
a = 5.5866 Å, b = 9.0887 Å, c = 5.6051 Å
α = 90.00°, β = 90.00°, γ = 90.00°
Positions (direct):
Dy 0.0000 0.1212 0.2500
Dy 0.0000 0.8788 0.7500
Dy 0.5000 0.1212 0.7500
Dy 0.5000 0.8788 0.2500
Au 0.2500 0.5000 0.2402
Au 0.2500 0.5000 0.7402
Au 0.7500 0.5000 0.2598
Au 0.7500 0.5000 0.7598
S 0.0000 0.2824 0.7500
S 0.0000 0.7176 0.2500
S 0.5000 0.2824 0.2500
S 0.5000 0.7176 0.7500
O 0.2500 0.0000 0.0006
O 0.2500 0.0000 0.5006
O 0.7500 0.0000 0.4994
O 0.7500 0.0000 0.9994

---

Starting from DFT lattice parameters and positions (GGA-PBE), the powder X-ray diffraction pattern of Ni10Ge was simulated for CuKα.
No peak broadening, texture or thermal motion is included.

Peak list (12 most intense, 2θ = 5–70°, sorted by position)
5.86°, I 100
8.79°, I 38
11.73°, I 20
43.45°, I 76
44.23°, I 39
44.97°, I 80
45.91°, I 66
51.05°, I 28
51.44°, I 17
52.11°, I 41
52.87°, I 22
53.97°, I 12

Structural model:
a = 4.2802 Å, b = 4.2802 Å, c = 30.1677 Å
α = 90.10°, β = 90.10°, γ = 48.45°
Positions (direct):
Ni 0.0490 0.0490 0.0391
Ni 0.0492 0.0492 0.7763
Ni 0.1484 0.1484 0.1173
Ni 0.1505 0.1505 0.8558
Ni 0.2479 0.2479 0.1959
Ni 0.2507 0.2507 0.9344
Ni 0.3495 0.3495 0.0131
Ni 0.3501 0.3501 0.7487
Ni 0.4488 0.4488 0.0916
Ni 0.4489 0.4489 0.8299
Ni 0.5511 0.5511 0.1701
Ni 0.5512 0.5512 0.9084
Ni 0.6499 0.6499 0.2513
Ni 0.6505 0.6505 0.9869
Ni 0.7493 0.7493 0.0656
Ni 0.7521 0.7521 0.8041
Ni 0.8495 0.8495 0.1442
Ni 0.8516 0.8516 0.8827
Ni 0.9508 0.9508 0.2237
Ni 0.9510 0.9510 0.9609
Ge 0.3488 0.3488 0.2729
Ge 0.6512 0.6512 0.7271

---

Starting from DFT lattice parameters and positions (GGA-PBE), the powder X-ray diffraction pattern of Cd16Ag was simulated for CuKα.
No peak broadening, texture or thermal motion is included.

Peak list (12 most intense, 2θ = 5–70°, sorted by position)
33.59°, I 20
34.26°, I 25
34.94°, I 25
35.77°, I 57
35.89°, I 71
36.31°, I 73
36.61°, I 26
37.34°, I 29
37.47°, I 100
37.95°, I 20
40.02°, I 24
41.23°, I 27

Structural model:
a = 7.6395 Å, b = 7.6395 Å, c = 13.4643 Å
α = 90.00°, β = 90.00°, γ = 110.13°
Positions (direct):
Cd 0.0000 0.0000 0.0000
Cd 0.0000 0.0000 0.5000
Cd 0.0215 0.6434 0.0725
Cd 0.0215 0.6434 0.4275
Cd 0.1777 0.8223 0.6415
Cd 0.1777 0.8223 0.8585
Cd 0.1932 0.4678 0.7500
Cd 0.2324 0.3601 0.1351
Cd 0.2324 0.3601 0.3649
Cd 0.2813 0.7187 0.2500
Cd 0.3566 0.9785 0.0725
Cd 0.3566 0.9785 0.4275
Cd 0.3601 0.2324 0.6351
Cd 0.3601 0.2324 0.8649
Cd 0.3902 0.6098 0.5425
Cd 0.3902 0.6098 0.9575
Cd 0.4678 0.1932 0.2500
Cd 0.5322 0.8068 0.7500
Cd 0.6098 0.3902 0.0425
Cd 0.6098 0.3902 0.4575
Cd 0.6399 0.7676 0.1351
Cd 0.6399 0.7676 0.3649
Cd 0.6434 0.0215 0.5725
Cd 0.6434 0.0215 0.9275
Cd 0.7187 0.2813 0.7500
Cd 0.7676 0.6399 0.6351
Cd 0.7676 0.6399 0.8649
Cd 0.8068 0.5322 0.2500
Cd 0.8223 0.1777 0.1415
Cd 0.8223 0.1777 0.3585
Cd 0.9785 0.3566 0.5725
Cd 0.9785 0.3566 0.9275
Ag 0.0392 0.9608 0.2500
Ag 0.9608 0.0392 0.7500

---

Starting from DFT lattice parameters and positions (GGA-PBE), the powder X-ray diffraction pattern of CsMg2Zn2As2P was simulated for CuKα.
No peak broadening, texture or thermal motion is included.

Peak list (12 most intense, 2θ = 5–70°, sorted by position)
21.83°, I 20
24.91°, I 20
26.20°, I 100
26.97°, I 63
30.58°, I 69
32.90°, I 35
41.01°, I 34
43.07°, I 30
45.10°, I 74
49.77°, I 22
51.11°, I 35
60.98°, I 21

Structural model:
a = 4.2002 Å, b = 4.4015 Å, c = 10.7233 Å
α = 90.00°, β = 90.00°, γ = 90.00°
Positions (direct):
Cs 0.0000 0.0000 0.0000
Mg 0.5000 0.0000 0.3509
Mg 0.5000 0.0000 0.6491
Zn 0.0000 0.5000 0.3495
Zn 0.0000 0.5000 0.6505
As 0.5000 0.5000 0.2204
As 0.5000 0.5000 0.7796
P 0.0000 0.0000 0.5000

---

Starting from DFT lattice parameters and positions (GGA-PBE), the powder X-ray diffraction pattern of Bi10PtSe10 was simulated for CuKα.
No peak broadening, texture or thermal motion is included.

Peak list (12 most intense, 2θ = 5–70°, sorted by position)
13.61°, I 47
22.90°, I 33
23.52°, I 37
26.38°, I 52
26.92°, I 100
30.42°, I 30
31.86°, I 30
32.45°, I 26
33.34°, I 50
41.54°, I 51
43.13°, I 39
44.43°, I 48

Structural model:
a = 11.8595 Å, b = 13.0100 Å, c = 8.3900 Å
α = 90.00°, β = 90.00°, γ = 90.00°
Positions (direct):
Bi 0.0000 0.0000 0.2493
Bi 0.0000 0.0000 0.7507
Bi 0.1349 0.4044 0.2705
Bi 0.1349 0.4044 0.7295
Bi 0.1585 0.6689 0.5000
Bi 0.2140 0.5639 0.0000
Bi 0.2860 0.0639 0.0000
Bi 0.3415 0.1689 0.5000
Bi 0.3651 0.9044 0.2705
Bi 0.3651 0.9044 0.7295
Bi 0.5000 0.5000 0.2493
Bi 0.5000 0.5000 0.7507
Bi 0.6349 0.0956 0.2705
Bi 0.6349 0.0956 0.7295
Bi 0.6585 0.8311 0.5000
Bi 0.7140 0.9361 0.0000
Bi 0.7860 0.4361 0.0000
Bi 0.8415 0.3311 0.5000
Bi 0.8651 0.5956 0.2705
Bi 0.8651 0.5956 0.7295
Pt 0.0000 0.5000 0.5000
Pt 0.5000 0.0000 0.5000
Se 0.0042 0.3393 0.0000
Se 0.1169 0.8948 0.0000
Se 0.1527 0.8958 0.5000
Se 0.1725 0.1742 0.2648
Se 0.1725 0.1742 0.7352
Se 0.3275 0.6742 0.2648
Se 0.3275 0.6742 0.7352
Se 0.3473 0.3958 0.5000
Se 0.3831 0.3948 0.0000
Se 0.4958 0.8393 0.0000
Se 0.5042 0.1607 0.0000
Se 0.6169 0.6052 0.0000
Se 0.6527 0.6042 0.5000
Se 0.6725 0.3258 0.2648
Se 0.6725 0.3258 0.7352
Se 0.8275 0.8258 0.2648
Se 0.8275 0.8258 0.7352
Se 0.8473 0.1042 0.5000
Se 0.8831 0.1052 0.0000
Se 0.9958 0.6607 0.0000

---

Starting from DFT lattice parameters and positions (GGA-PBE), the powder X-ray diffraction pattern of TaTlAg2Se4 was simulated for CuKα.
No peak broadening, texture or thermal motion is included.

Peak list (12 most intense, 2θ = 5–70°, sorted by position)
14.13°, I 53
15.10°, I 62
21.02°, I 25
21.97°, I 33
26.77°, I 100
29.70°, I 39
32.46°, I 32
36.71°, I 33
41.15°, I 82
41.66°, I 34
44.81°, I 31
52.98°, I 29

Structural model:
a = 8.0901 Å, b = 10.3765 Å, c = 10.3765 Å
α = 145.57°, β = 90.00°, γ = 90.00°
Positions (direct):
Ta 0.2500 0.1154 0.8846
Ta 0.7500 0.8846 0.1154
Tl 0.2500 0.6681 0.0519
Tl 0.7500 0.0519 0.6681
Ag 0.0000 0.0350 0.0350
Ag 0.2500 0.6269 0.3774
Ag 0.5000 0.0350 0.0350
Ag 0.7500 0.3774 0.6269
Se 0.0022 0.1048 0.3437
Se 0.2500 0.0220 0.5806
Se 0.2500 0.7726 0.7414
Se 0.4978 0.1048 0.3437
Se 0.5022 0.3437 0.1048
Se 0.7500 0.5806 0.0220
Se 0.7500 0.7414 0.7726
Se 0.9978 0.3437 0.1048

---

What did the fourth record say?
Starting from DFT lattice parameters and positions (GGA-PBE), the powder X-ray diffraction pattern of Ni10Ge was simulated for CuKα.
No peak broadening, texture or thermal motion is included.

Peak list (12 most intense, 2θ = 5–70°, sorted by position)
5.86°, I 100
8.79°, I 38
11.73°, I 20
43.45°, I 76
44.23°, I 39
44.97°, I 80
45.91°, I 66
51.05°, I 28
51.44°, I 17
52.11°, I 41
52.87°, I 22
53.97°, I 12

Structural model:
a = 4.2802 Å, b = 4.2802 Å, c = 30.1677 Å
α = 90.10°, β = 90.10°, γ = 48.45°
Positions (direct):
Ni 0.0490 0.0490 0.0391
Ni 0.0492 0.0492 0.7763
Ni 0.1484 0.1484 0.1173
Ni 0.1505 0.1505 0.8558
Ni 0.2479 0.2479 0.1959
Ni 0.2507 0.2507 0.9344
Ni 0.3495 0.3495 0.0131
Ni 0.3501 0.3501 0.7487
Ni 0.4488 0.4488 0.0916
Ni 0.4489 0.4489 0.8299
Ni 0.5511 0.5511 0.1701
Ni 0.5512 0.5512 0.9084
Ni 0.6499 0.6499 0.2513
Ni 0.6505 0.6505 0.9869
Ni 0.7493 0.7493 0.0656
Ni 0.7521 0.7521 0.8041
Ni 0.8495 0.8495 0.1442
Ni 0.8516 0.8516 0.8827
Ni 0.9508 0.9508 0.2237
Ni 0.9510 0.9510 0.9609
Ge 0.3488 0.3488 0.2729
Ge 0.6512 0.6512 0.7271